1.
This entry pairs a crystal structure of Cu7AgPd12 with its computed X-ray diffraction stick pattern. Radiation: Cu Kα X-rays. Structure: the GGA-PBE geometry in Alexandria.
Peak positions follow from Bragg's law for the DFT cell and can differ from measured ones.

Top 6 peaks for 2θ = 10–90°, in order of rising 2θ:
2θ = 30.07°, intensity 24; 2θ = 34.85°, intensity 19; 2θ = 40.26°, intensity 55; 2θ = 40.41°, intensity 100; 2θ = 44.23°, intensity 24; 2θ = 51.05°, intensity 21

a = 6.876 Å, b = 6.876 Å, c = 6.876 Å
α = 96.97°, β = 96.97°, γ = 96.97°
Fractional coordinates of all 20 atoms:
Cu  0.000  0.000  0.000
Cu  0.130  0.437  0.437
Cu  0.437  0.130  0.437
Cu  0.437  0.437  0.130
Cu  0.563  0.563  0.870
Cu  0.563  0.870  0.563
Cu  0.870  0.563  0.563
Ag  0.500  0.500  0.500
Pd  0.067  0.067  0.356
Pd  0.067  0.356  0.067
Pd  0.254  0.733  0.733
Pd  0.267  0.267  0.746
Pd  0.267  0.746  0.267
Pd  0.356  0.067  0.067
Pd  0.644  0.933  0.933
Pd  0.733  0.254  0.733
Pd  0.733  0.733  0.254
Pd  0.746  0.267  0.267
Pd  0.933  0.644  0.933
Pd  0.933  0.933  0.644

=====

2.
This entry pairs a crystal structure of CuAg8Pd2 with its computed X-ray diffraction stick pattern. Radiation: Cu Kα X-rays. Structure: the GGA-PBE geometry in Alexandria.
Peak positions follow from Bragg's law for the DFT cell and can differ from measured ones.

Top 6 peaks for 2θ = 10–90°, in order of rising 2θ:
2θ = 35.79°, intensity 82; 2θ = 36.01°, intensity 68; 2θ = 38.03°, intensity 100; 2θ = 38.40°, intensity 86; 2θ = 41.85°, intensity 69; 2θ = 43.12°, intensity 70

a = 7.815 Å, b = 7.815 Å, c = 5.238 Å
α = 105.46°, β = 105.46°, γ = 40.15°
Fractional coordinates of all 11 atoms:
Cu  0.000  0.000  0.000
Ag  0.163  0.665  0.560
Ag  0.195  0.195  0.080
Ag  0.335  0.837  0.440
Ag  0.414  0.414  0.076
Ag  0.586  0.586  0.924
Ag  0.665  0.163  0.560
Ag  0.805  0.805  0.920
Ag  0.837  0.335  0.440
Pd  0.257  0.257  0.632
Pd  0.743  0.743  0.368

=====

3.
This entry pairs a crystal structure of Pm2Cu2AgPd5 with its computed X-ray diffraction stick pattern. Radiation: Cu Kα X-rays. Structure: the GGA-PBE geometry in Alexandria.
Peak positions follow from Bragg's law for the DFT cell and can differ from measured ones.

Top 6 peaks for 2θ = 10–90°, in order of rising 2θ:
2θ = 30.77°, intensity 30; 2θ = 34.98°, intensity 29; 2θ = 37.55°, intensity 100; 2θ = 39.26°, intensity 49; 2θ = 41.15°, intensity 40; 2θ = 45.37°, intensity 30

a = 9.462 Å, b = 9.462 Å, c = 3.998 Å
α = 90.00°, β = 90.00°, γ = 90.00°
Fractional coordinates of all 20 atoms:
Pm  0.179  0.321  0.000
Pm  0.321  0.821  0.000
Pm  0.679  0.179  0.000
Pm  0.821  0.679  0.000
Cu  0.118  0.618  0.000
Cu  0.382  0.118  0.000
Cu  0.618  0.882  0.000
Cu  0.882  0.382  0.000
Ag  0.000  0.000  0.000
Ag  0.500  0.500  0.000
Pd  0.000  0.500  0.500
Pd  0.067  0.793  0.500
Pd  0.207  0.067  0.500
Pd  0.293  0.567  0.500
Pd  0.433  0.293  0.500
Pd  0.500  0.000  0.500
Pd  0.567  0.707  0.500
Pd  0.707  0.433  0.500
Pd  0.793  0.933  0.500
Pd  0.933  0.207  0.500

=====

4.
This entry pairs a crystal structure of Pm3CuAg3 with its computed X-ray diffraction stick pattern. Radiation: Cu Kα X-rays. Structure: the GGA-PBE geometry in Alexandria.
Peak positions follow from Bragg's law for the DFT cell and can differ from measured ones.

Top 6 peaks for 2θ = 10–90°, in order of rising 2θ:
2θ = 32.05°, intensity 100; 2θ = 33.14°, intensity 53; 2θ = 35.80°, intensity 32; 2θ = 37.12°, intensity 52; 2θ = 38.23°, intensity 40; 2θ = 51.47°, intensity 30

a = 10.328 Å, b = 10.328 Å, c = 10.328 Å
α = 159.34°, β = 153.64°, γ = 33.72°
Fractional coordinates of all 7 atoms:
Pm  0.000  0.000  0.000
Pm  0.375  0.375  0.000
Pm  0.696  0.196  0.500
Cu  0.259  0.759  0.500
Ag  0.129  0.629  0.500
Ag  0.548  0.548  0.000
Ag  0.829  0.829  0.000

=====

5.
This entry pairs a crystal structure of PmYCuAg with its computed X-ray diffraction stick pattern. Radiation: Cu Kα X-rays. Structure: the GGA-PBE geometry in Alexandria.
Peak positions follow from Bragg's law for the DFT cell and can differ from measured ones.

Top 6 peaks for 2θ = 10–90°, in order of rising 2θ:
2θ = 35.09°, intensity 100; 2θ = 35.34°, intensity 50; 2θ = 50.85°, intensity 17; 2θ = 62.78°, intensity 16; 2θ = 63.28°, intensity 34; 2θ = 74.15°, intensity 10

a = 3.591 Å, b = 3.591 Å, c = 7.286 Å
α = 90.00°, β = 90.00°, γ = 90.00°
Fractional coordinates of all 4 atoms:
Pm  0.000  0.000  0.000
Y  0.000  0.000  0.473
Cu  0.500  0.500  0.248
Ag  0.500  0.500  0.724

=====

6.
This entry pairs a crystal structure of Pr3Cu3Ag with its computed X-ray diffraction stick pattern. Radiation: Cu Kα X-rays. Structure: the GGA-PBE geometry in Alexandria.
Peak positions follow from Bragg's law for the DFT cell and can differ from measured ones.

Top 6 peaks for 2θ = 10–90°, in order of rising 2θ:
2θ = 29.19°, intensity 46; 2θ = 30.68°, intensity 40; 2θ = 32.86°, intensity 90; 2θ = 33.81°, intensity 100; 2θ = 38.21°, intensity 67; 2θ = 41.18°, intensity 47

a = 5.661 Å, b = 5.661 Å, c = 14.048 Å
α = 90.00°, β = 90.00°, γ = 134.43°
Fractional coordinates of all 14 atoms:
Pr  0.022  0.978  0.750
Pr  0.302  0.698  0.601
Pr  0.302  0.698  0.899
Pr  0.698  0.302  0.101
Pr  0.698  0.302  0.399
Pr  0.978  0.022  0.250
Cu  0.272  0.728  0.250
Cu  0.408  0.592  0.099
Cu  0.408  0.592  0.401
Cu  0.592  0.408  0.599
Cu  0.592  0.408  0.901
Cu  0.728  0.272  0.750
Ag  0.000  0.000  0.000
Ag  0.000  0.000  0.500

=====

7.
This entry pairs a crystal structure of Pr3CuAg3 with its computed X-ray diffraction stick pattern. Radiation: Cu Kα X-rays. Structure: the GGA-PBE geometry in Alexandria.
Peak positions follow from Bragg's law for the DFT cell and can differ from measured ones.

Top 6 peaks for 2θ = 10–90°, in order of rising 2θ:
2θ = 31.64°, intensity 100; 2θ = 32.62°, intensity 56; 2θ = 35.32°, intensity 35; 2θ = 36.65°, intensity 53; 2θ = 37.97°, intensity 41; 2θ = 50.91°, intensity 32

a = 10.475 Å, b = 10.475 Å, c = 10.475 Å
α = 159.30°, β = 153.85°, γ = 33.59°
Fractional coordinates of all 7 atoms:
Pr  0.000  0.000  0.000
Pr  0.375  0.375  0.000
Pr  0.695  0.195  0.500
Cu  0.258  0.758  0.500
Ag  0.129  0.629  0.500
Ag  0.550  0.550  0.000
Ag  0.827  0.827  0.000

=====

8.
This entry pairs a crystal structure of Pr3CuAg2 with its computed X-ray diffraction stick pattern. Radiation: Cu Kα X-rays. Structure: the GGA-PBE geometry in Alexandria.
Peak positions follow from Bragg's law for the DFT cell and can differ from measured ones.

Top 6 peaks for 2θ = 10–90°, in order of rising 2θ:
2θ = 33.85°, intensity 100; 2θ = 34.21°, intensity 50; 2θ = 49.15°, intensity 17; 2θ = 60.33°, intensity 17; 2θ = 61.02°, intensity 35; 2θ = 71.20°, intensity 12

a = 3.707 Å, b = 3.707 Å, c = 11.354 Å
α = 90.00°, β = 90.00°, γ = 90.00°
Fractional coordinates of all 6 atoms:
Pr  0.000  0.000  0.000
Pr  0.000  0.000  0.344
Pr  0.000  0.000  0.656
Cu  0.500  0.500  0.500
Ag  0.500  0.500  0.172
Ag  0.500  0.500  0.828